1.
# MgTiMoP3O12
Computed X-ray powder pattern, Cu Kα, 1.54184 Å. Input: a structure optimized by DFT (PBE+U).

Most intense lines, 2θ from 10° to 90°, by intensity:
d (Å)	two_theta	I_rel
3.712	23.97	100
4.369	20.33	76
2.740	32.68	64
4.329	20.52	49
2.522	35.59	37
1.651	55.68	31
3.075	29.04	28
1.940	46.84	28
1.856	49.09	24
2.515	35.70	22
6.150	14.40	22
1.495	62.09	18

Cell and atoms:
```
data_MgTiMoP3O12
_chemical_formula_sum 'Mg2 Ti2 Mo2 P6 O24'
_symmetry_space_group_name_H-M 'P 1'
_symmetry_Int_Tables_number 1
_cell_length_a 8.659
_cell_length_b 8.659
_cell_length_c 8.659
_cell_angle_alpha 60.61
_cell_angle_beta 60.61
_cell_angle_gamma 60.61
loop_
_symmetry_equiv_pos_as_xyz
'x,y,z'
loop_
_atom_site_label
_atom_site_type_symbol
_atom_site_fract_x
_atom_site_fract_y
_atom_site_fract_z
_atom_site_occupancy
Mg1 Mg 0.000 0.000 0.000 1
Mg2 Mg 0.500 0.500 0.500 1
Ti1 Ti 0.355 0.355 0.355 1
Ti2 Ti 0.855 0.855 0.855 1
Mo1 Mo 0.143 0.143 0.143 1
Mo2 Mo 0.643 0.643 0.643 1
P1 P 0.052 0.457 0.744 1
P2 P 0.244 0.957 0.552 1
P3 P 0.457 0.744 0.052 1
P4 P 0.552 0.244 0.957 1
P5 P 0.744 0.052 0.457 1
P6 P 0.957 0.552 0.244 1
O1 O 0.066 0.262 0.900 1
O2 O 0.086 0.948 0.748 1
O3 O 0.122 0.499 0.311 1
O4 O 0.173 0.996 0.405 1
O5 O 0.248 0.448 0.586 1
O6 O 0.262 0.900 0.066 1
O7 O 0.311 0.122 0.499 1
O8 O 0.400 0.762 0.566 1
O9 O 0.405 0.173 0.996 1
O10 O 0.448 0.586 0.248 1
O11 O 0.496 0.673 0.905 1
O12 O 0.499 0.311 0.122 1
O13 O 0.566 0.400 0.762 1
O14 O 0.586 0.248 0.448 1
O15 O 0.622 0.811 0.999 1
O16 O 0.673 0.905 0.496 1
O17 O 0.748 0.086 0.948 1
O18 O 0.762 0.566 0.400 1
O19 O 0.811 0.999 0.622 1
O20 O 0.900 0.066 0.262 1
O21 O 0.905 0.496 0.673 1
O22 O 0.948 0.748 0.086 1
O23 O 0.996 0.405 0.173 1
O24 O 0.999 0.622 0.811 1
```

2.
# Pr2MgMo4O12
Computed X-ray powder pattern, Cu Kα, 1.54184 Å. Input: a structure optimized by DFT (PBE+U).

Most intense lines, 2θ from 10° to 90°, by intensity:
d (Å)	two_theta	I_rel
2.839	31.51	100
4.558	19.48	39
4.632	19.16	34
2.771	32.30	32
2.793	32.05	31
2.802	31.94	31
1.621	56.81	28
2.002	45.29	20
2.013	45.05	17
1.955	46.46	17
2.404	37.40	16
1.625	56.64	12

Cell and atoms:
```
data_Pr2MgMo4O12
_chemical_formula_sum 'Pr2 Mg1 Mo4 O12'
_symmetry_space_group_name_H-M 'P 1'
_symmetry_Int_Tables_number 1
_cell_length_a 5.545
_cell_length_b 5.681
_cell_length_c 8.009
_cell_angle_alpha 90.11
_cell_angle_beta 90.16
_cell_angle_gamma 91.66
loop_
_symmetry_equiv_pos_as_xyz
'x,y,z'
loop_
_atom_site_label
_atom_site_type_symbol
_atom_site_fract_x
_atom_site_fract_y
_atom_site_fract_z
_atom_site_occupancy
Pr1 Pr 0.000 0.000 0.000 1
Pr2 Pr 0.490 0.381 0.500 1
Mg1 Mg 0.490 0.469 0.996 1
Mo1 Mo 0.492 0.926 0.254 1
Mo2 Mo 0.492 0.926 0.750 1
Mo3 Mo 0.983 0.446 0.746 1
Mo4 Mo 0.984 0.448 0.249 1
O1 O 0.081 0.455 0.507 1
O2 O 0.191 0.729 0.817 1
O3 O 0.197 0.753 0.197 1
O4 O 0.297 0.238 0.815 1
O5 O 0.302 0.246 0.182 1
O6 O 0.405 0.971 0.493 1
O7 O 0.588 0.863 0.004 1
O8 O 0.661 0.630 0.297 1
O9 O 0.666 0.630 0.705 1
O10 O 0.767 0.134 0.277 1
O11 O 0.774 0.148 0.712 1
O12 O 0.860 0.410 0.993 1
```

3.
# Rb4MgMo2O8
Computed X-ray powder pattern, Cu Kα, 1.54184 Å. Input: a structure optimized by DFT (PBE+U).

Most intense lines, 2θ from 10° to 90°, by intensity:
d (Å)	two_theta	I_rel
3.437	25.92	100
3.591	24.80	42
3.058	29.21	39
3.380	26.37	35
3.351	26.60	32
3.290	27.10	28
3.791	23.47	27
2.246	40.15	20
3.120	28.61	19
3.026	29.52	18
3.045	29.34	18
3.751	23.72	16

Cell and atoms:
```
data_Rb4MgMo2O8
_chemical_formula_sum 'Rb4 Mg1 Mo2 O8'
_symmetry_space_group_name_H-M 'P 1'
_symmetry_Int_Tables_number 1
_cell_length_a 6.839
_cell_length_b 7.651
_cell_length_c 7.874
_cell_angle_alpha 61.39
_cell_angle_beta 82.55
_cell_angle_gamma 63.91
loop_
_symmetry_equiv_pos_as_xyz
'x,y,z'
loop_
_atom_site_label
_atom_site_type_symbol
_atom_site_fract_x
_atom_site_fract_y
_atom_site_fract_z
_atom_site_occupancy
Rb1 Rb 0.000 0.000 0.000 1
Rb2 Rb 0.148 0.962 0.534 1
Rb3 Rb 0.462 0.077 0.006 1
Rb4 Rb 0.820 0.583 0.531 1
Mg1 Mg 0.453 0.509 0.059 1
Mo1 Mo 0.480 0.299 0.478 1
Mo2 Mo 0.941 0.529 0.022 1
O1 O 0.074 0.227 0.146 1
O2 O 0.182 0.596 0.904 1
O3 O 0.261 0.237 0.615 1
O4 O 0.374 0.600 0.270 1
O5 O 0.560 0.199 0.284 1
O6 O 0.681 0.589 0.896 1
O7 O 0.718 0.222 0.628 1
O8 O 0.839 0.694 0.149 1
```

4.
# MgMo2Rh4O12
Computed X-ray powder pattern, Cu Kα, 1.54184 Å. Input: a structure optimized by DFT (PBE+U).

Most intense lines, 2θ from 10° to 90°, by intensity:
d (Å)	two_theta	I_rel
2.616	34.27	100
3.386	26.32	63
3.355	26.57	61
1.760	51.97	24
1.769	51.68	24
1.420	65.74	20
1.764	51.83	19
1.755	52.12	19
2.376	37.87	17
1.413	66.13	14
2.391	37.62	14
1.693	54.17	12

Cell and atoms:
```
data_MgMo2Rh4O12
_chemical_formula_sum 'Mg1 Mo2 Rh4 O12'
_symmetry_space_group_name_H-M 'P 1'
_symmetry_Int_Tables_number 1
_cell_length_a 4.751
_cell_length_b 9.390
_cell_length_c 4.782
_cell_angle_alpha 90.00
_cell_angle_beta 90.54
_cell_angle_gamma 90.00
loop_
_symmetry_equiv_pos_as_xyz
'x,y,z'
loop_
_atom_site_label
_atom_site_type_symbol
_atom_site_fract_x
_atom_site_fract_y
_atom_site_fract_z
_atom_site_occupancy
Mg1 Mg 0.000 0.000 0.000 1
Mo1 Mo 0.000 0.306 0.500 1
Mo2 Mo 0.500 0.786 0.000 1
Rh1 Rh 0.000 0.631 0.500 1
Rh2 Rh 0.000 0.963 0.500 1
Rh3 Rh 0.500 0.136 0.000 1
Rh4 Rh 0.500 0.464 0.000 1
O1 O 0.170 0.134 0.281 1
O2 O 0.181 0.802 0.273 1
O3 O 0.186 0.463 0.298 1
O4 O 0.311 0.298 0.784 1
O5 O 0.314 0.632 0.794 1
O6 O 0.332 0.960 0.784 1
O7 O 0.668 0.960 0.216 1
O8 O 0.686 0.632 0.206 1
O9 O 0.689 0.298 0.216 1
O10 O 0.814 0.463 0.702 1
O11 O 0.819 0.802 0.727 1
O12 O 0.830 0.134 0.719 1
```

5.
# MgMo2Rh4O12
Computed X-ray powder pattern, Cu Kα, 1.54184 Å. Input: a structure optimized by DFT (PBE+U).

Most intense lines, 2θ from 10° to 90°, by intensity:
d (Å)	two_theta	I_rel
2.684	33.38	100
3.272	27.25	71
3.406	26.16	61
1.753	52.19	40
1.793	50.94	38
2.359	38.14	25
1.417	65.91	22
1.636	56.22	11
1.631	56.40	11
1.460	63.75	10
1.703	53.83	9
1.475	63.03	8

Cell and atoms:
```
data_MgMo2Rh4O12
_chemical_formula_sum 'Mg1 Mo2 Rh4 O12'
_symmetry_space_group_name_H-M 'P 1'
_symmetry_Int_Tables_number 1
_cell_length_a 9.789
_cell_length_b 4.724
_cell_length_c 4.724
_cell_angle_alpha 87.70
_cell_angle_beta 90.00
_cell_angle_gamma 90.00
loop_
_symmetry_equiv_pos_as_xyz
'x,y,z'
loop_
_atom_site_label
_atom_site_type_symbol
_atom_site_fract_x
_atom_site_fract_y
_atom_site_fract_z
_atom_site_occupancy
Mg1 Mg 0.000 0.000 0.000 1
Mo1 Mo 0.000 0.364 0.364 1
Mo2 Mo 0.500 0.792 0.792 1
Rh1 Rh 0.189 0.781 0.781 1
Rh2 Rh 0.338 0.293 0.293 1
Rh3 Rh 0.662 0.293 0.293 1
Rh4 Rh 0.811 0.781 0.781 1
O1 O 0.000 0.576 0.984 1
O2 O 0.000 0.984 0.576 1
O3 O 0.178 0.493 0.493 1
O4 O 0.179 0.100 0.100 1
O5 O 0.345 0.599 0.990 1
O6 O 0.345 0.990 0.599 1
O7 O 0.500 0.098 0.098 1
O8 O 0.500 0.495 0.495 1
O9 O 0.655 0.599 0.990 1
O10 O 0.655 0.990 0.599 1
O11 O 0.821 0.100 0.100 1
O12 O 0.822 0.493 0.493 1
```